No. 1
Rb3Si2Sb4: calculated X-ray diffraction stick pattern (Cu Kα, 1.54184 Å), based on DFT lattice parameters and positions (PBE).

Main lines, sorted by position (10° ≤ 2θ ≤ 90°):
Position (°2θ)	I_rel
21.1	71
26.2	62
26.3	79
27.6	100
30.3	69
32.5	62

Atomic structure:
Cell: 10.273 10.273 7.274 Å, 90.25 90.25 70.22°
Positions (direct):
Rb 0.111 0.889 0.750
Rb 0.245 0.497 0.490
Rb 0.497 0.245 0.990
Rb 0.503 0.755 0.010
Rb 0.755 0.503 0.510
Rb 0.889 0.111 0.250
Si 0.101 0.330 0.963
Si 0.330 0.101 0.463
Si 0.670 0.899 0.537
Si 0.899 0.670 0.037
Sb 0.094 0.236 0.621
Sb 0.167 0.554 0.996
Sb 0.236 0.094 0.121
Sb 0.446 0.833 0.504
Sb 0.554 0.167 0.496
Sb 0.764 0.906 0.879
Sb 0.833 0.446 0.004
Sb 0.906 0.764 0.379

=====

No. 2
Ba3Tl8Pb3: calculated X-ray diffraction stick pattern (Cu Kα, 1.54184 Å), based on DFT lattice parameters and positions (PBE).

Main lines, sorted by position (10° ≤ 2θ ≤ 90°):
Position (°2θ)	I_rel
28.0	28
28.6	100
30.3	35
34.8	43
35.0	31
36.6	33

Atomic structure:
Cell: 10.148 10.148 10.148 Å, 150.61 105.98 81.57°
Positions (direct):
Ba 0.000 0.000 0.000
Ba 0.308 0.308 0.000
Ba 0.692 0.692 0.000
Tl 0.028 0.656 0.372
Tl 0.135 0.853 0.282
Tl 0.285 0.656 0.628
Tl 0.429 0.147 0.282
Tl 0.571 0.853 0.718
Tl 0.715 0.344 0.372
Tl 0.865 0.147 0.718
Tl 0.972 0.344 0.628
Pb 0.307 0.500 0.807
Pb 0.500 0.000 0.500
Pb 0.693 0.500 0.193

=====

No. 3
AcPd3Au2: calculated X-ray diffraction stick pattern (Cu Kα, 1.54184 Å), based on DFT lattice parameters and positions (PBE).

Main lines, sorted by position (10° ≤ 2θ ≤ 90°):
Position (°2θ)	I_rel
31.8	38
37.7	100
40.1	24
52.1	20
60.6	25
80.6	19

Atomic structure:
Cell: 5.626 5.626 4.499 Å, 90.00 90.00 120.00°
Positions (direct):
Ac 0.000 0.000 0.000
Pd 0.000 0.500 0.500
Pd 0.500 0.000 0.500
Pd 0.500 0.500 0.500
Au 0.333 0.667 0.000
Au 0.667 0.333 0.000

=====

No. 4
AlC6: calculated X-ray diffraction stick pattern (Cu Kα, 1.54184 Å), based on DFT lattice parameters and positions (PBE).

Main lines, sorted by position (10° ≤ 2θ ≤ 90°):
Position (°2θ)	I_rel
16.5	100
33.5	23
37.5	15
51.2	9
54.1	8
62.5	8

Atomic structure:
Cell: 5.357 5.357 5.357 Å, 90.00 90.00 90.00°
Positions (direct):
Al 0.000 0.000 0.000
C 0.000 0.000 0.380
C 0.000 0.000 0.620
C 0.000 0.380 0.000
C 0.000 0.620 0.000
C 0.380 0.000 0.000
C 0.620 0.000 0.000

=====

No. 5
Na6Hg7: calculated X-ray diffraction stick pattern (Cu Kα, 1.54184 Å), based on DFT lattice parameters and positions (PBE).

Main lines, sorted by position (10° ≤ 2θ ≤ 90°):
Position (°2θ)	I_rel
16.3	100
16.9	76
33.6	59
33.9	48
36.5	88
39.0	59

Atomic structure:
Cell: 11.439 11.439 11.439 Å, 31.09 31.09 31.09°
Positions (direct):
Na 0.052 0.052 0.052
Na 0.156 0.156 0.156
Na 0.334 0.334 0.334
Na 0.666 0.666 0.666
Na 0.844 0.844 0.844
Na 0.948 0.948 0.948
Hg 0.082 0.589 0.589
Hg 0.411 0.411 0.918
Hg 0.411 0.918 0.411
Hg 0.500 0.500 0.500
Hg 0.589 0.082 0.589
Hg 0.589 0.589 0.082
Hg 0.918 0.411 0.411

=====

Copy entry 5 word for word.
Na6Hg7: calculated X-ray diffraction stick pattern (Cu Kα, 1.54184 Å), based on DFT lattice parameters and positions (PBE).

Main lines, sorted by position (10° ≤ 2θ ≤ 90°):
Position (°2θ)	I_rel
16.3	100
16.9	76
33.6	59
33.9	48
36.5	88
39.0	59

Atomic structure:
Cell: 11.439 11.439 11.439 Å, 31.09 31.09 31.09°
Positions (direct):
Na 0.052 0.052 0.052
Na 0.156 0.156 0.156
Na 0.334 0.334 0.334
Na 0.666 0.666 0.666
Na 0.844 0.844 0.844
Na 0.948 0.948 0.948
Hg 0.082 0.589 0.589
Hg 0.411 0.411 0.918
Hg 0.411 0.918 0.411
Hg 0.500 0.500 0.500
Hg 0.589 0.082 0.589
Hg 0.589 0.589 0.082
Hg 0.918 0.411 0.411